Theoretical powder diffraction line list of Tb5PmNdDy2 for copper Kα, from DFT lattice parameters and positions (GGA-PBE).
Peak positions follow from Bragg's law for the DFT cell and can differ from measured ones.

Crystal structure
```
data_Tb5PmNdDy2
_space_group_name_H-M_alt 'P 1'
_space_group_IT_number 1
_cell_length_a 10.363
_cell_length_b 10.363
_cell_length_c 10.638
_cell_angle_alpha 90.00
_cell_angle_beta 90.00
_cell_angle_gamma 148.43
loop_
_space_group_symop_operation_xyz
'x,y,z'
loop_
_atom_site_label
_atom_site_fract_x
_atom_site_fract_y
_atom_site_fract_z
Tb1 0.017 0.983 0.500
Tb2 0.282 0.718 0.784
Tb3 0.298 0.702 0.182
Tb4 0.391 0.609 0.498
Tb5 0.478 0.522 0.211
Tb6 0.522 0.478 0.711
Tb7 0.609 0.391 0.998
Tb8 0.702 0.298 0.682
Tb9 0.718 0.282 0.284
Tb10 0.983 0.017 0.000
Pm1 0.201 0.799 0.486
Pm2 0.799 0.201 0.986
Nd1 0.416 0.584 0.925
Nd2 0.584 0.416 0.425
Dy1 0.111 0.889 0.208
Dy2 0.114 0.886 0.795
Dy3 0.886 0.114 0.295
Dy4 0.889 0.111 0.708
```

Top 10 peaks for 5 to 70 degrees two-theta, by angle:
| 2θ (°) | I (rel.) |
| --- | --- |
| 28.1 | 19 |
| 30.1 | 40 |
| 31.7 | 43 |
| 32.2 | 100 |
| 33.7 | 12 |
| 42.9 | 12 |
| 51.0 | 11 |
| 56.9 | 22 |
| 59.6 | 15 |
| 61.3 | 13 |